For Cs2ZrCl7, a crystal structure in Alexandria, relaxed with GGA-PBE gives the theoretical PXRD pattern in this record (CuKα).
Peak positions follow from Bragg's law for the DFT cell and can differ from measured ones.

```
Cs2ZrCl7
1.0
0.000 5.690 5.690
5.690 0.000 5.690
5.690 5.690 0.000
Cs Zr Cl
2 1 7
Direct
0.250 0.250 0.250 Cs
0.750 0.750 0.750 Cs
0.000 0.000 0.000 Zr
0.219 0.219 0.781 Cl
0.219 0.781 0.219 Cl
0.219 0.781 0.781 Cl
0.500 0.500 0.500 Cl
0.781 0.219 0.219 Cl
0.781 0.219 0.781 Cl
0.781 0.781 0.219 Cl
```

Top 8 peaks for 5 to 70 degrees two-theta, by angle:
2θ = 13.48°, rel. 20
2θ = 22.09°, rel. 100
2θ = 27.15°, rel. 42
2θ = 31.45°, rel. 65
2θ = 38.77°, rel. 40
2θ = 45.07°, rel. 42
2θ = 50.74°, rel. 26
2θ = 60.92°, rel. 27